[1]
# SrCaMgSi2O7
Calculated powder XRD pattern, copper Kα. Input: a PBE-relaxed structure.
Neutral-atom scattering factors, no anomalous dispersion.

Crystal structure
```
24
Lattice="5.1275 0.0000 0.0000 0.0000 8.0281 0.0000 -0.1718 0.0000 8.0129" Properties=species:S:1:pos:R:3 pbc="T T T"
Sr 0.0379 0.0000 0.6859
Sr 4.9178 4.0140 7.3269
Ca -0.0654 5.3188 3.3676
Ca 5.0211 1.3048 4.6452
Mg 2.5223 2.7141 2.0221
Mg 2.4334 6.7281 5.9907
Si 2.1221 3.8296 4.8297
Si 2.1104 1.5853 7.0669
Si 2.8452 5.5994 0.9460
Si 2.8336 7.8436 3.1832
O 1.2289 5.6010 0.9423
O 1.2182 7.8730 3.2001
O 1.3570 3.3775 3.4460
O 1.3497 0.2074 6.5982
O 1.3851 5.2231 5.2959
O 1.5590 2.0675 0.4456
O 1.5394 2.6873 5.9246
O 3.4163 6.7014 2.0883
O 3.3967 6.0816 7.5672
O 3.5706 1.2090 2.7170
O 3.6060 4.2214 1.4146
O 3.5987 7.3915 4.5669
O 3.7375 3.8590 4.8127
O 3.7268 1.5870 7.0706
```

Most intense lines, 2θ from 10° to 90°, in order of falling intensity:
d 2.965, intensity 100, hkl 1 1 -2
d 2.953, intensity 98, hkl 1 2 -1
d 2.912, intensity 93, hkl 1 1 2
d 2.927, intensity 91, hkl 1 2 1
d 2.536, intensity 66, hkl 0 1 3
d 3.160, intensity 55, hkl 1 2 0
d 1.890, intensity 49, hkl 0 3 3
d 5.671, intensity 43, hkl 0 1 1
d 1.945, intensity 35, hkl 0 4 1
d 3.775, intensity 34, hkl 1 1 1
d 1.784, intensity 32, hkl 2 1 3
d 1.822, intensity 32, hkl 2 1 -3


[2]
# SrCa3Mg4Si8O24
Calculated powder XRD pattern, copper Kα. Input: a PBE-relaxed structure.
Neutral-atom scattering factors, no anomalous dispersion.

Crystal structure
```
40
Lattice="5.3239 0.0000 0.0000 0.0000 9.0907 0.0000 -2.6279 0.0000 9.5219" Properties=species:S:1:pos:R:3 pbc="T T T"
Sr 0.0000 0.0000 0.0000
Ca -1.3139 8.1272 4.7609
Ca 2.6620 3.5910 0.0000
Ca 1.3480 4.4864 4.7609
Mg -1.3139 2.6113 4.7609
Mg 0.0000 5.4574 0.0000
Mg 1.3480 0.9159 4.7609
Mg 2.6620 7.1263 0.0000
Si 0.4563 2.6230 2.0501
Si -0.8523 5.4613 6.7936
Si 0.8933 7.1404 2.7308
Si -0.4077 0.9249 7.4585
Si 3.1037 0.9249 2.0634
Si 1.8027 7.1404 6.7911
Si 2.2397 2.6230 7.4718
Si 3.5484 5.4613 2.7283
O -0.3587 6.1494 3.3327
O -1.6505 1.9381 8.0579
O 0.7349 4.0160 1.3042
O -0.5758 4.0568 6.0678
O -0.4240 0.9721 5.8409
O 0.9041 7.0417 1.1121
O -0.8542 5.5079 8.4182
O 0.4625 2.5619 3.6679
O 0.6099 8.5542 3.4429
O -0.6233 8.5919 8.1661
O 0.3862 6.4612 6.1802
O 1.7037 1.6315 1.4462
O 0.9923 1.6315 8.0756
O 2.3099 6.4612 3.3417
O 3.3193 8.5919 1.3558
O 2.0862 8.5542 6.0790
O 2.2335 2.5619 5.8540
O 3.5502 5.5079 1.1037
O 1.7920 7.0417 8.4097
O 3.1200 0.9721 3.6809
O 1.9611 4.0160 8.2177
O 3.2718 4.0568 3.4541
O 4.3465 1.9381 1.4640
O 3.0547 6.1494 6.1891
```

Most intense lines, 2θ from 10° to 90°, in order of falling intensity:
d 3.039, intensity 100, hkl 1 2 1
d 2.557, intensity 44, hkl 1 2 -3
d 2.936, intensity 43, hkl 1 1 2
d 2.561, intensity 43, hkl 2 0 -2
d 3.288, intensity 32, hkl 0 2 2
d 2.609, intensity 27, hkl 1 3 0
d 2.077, intensity 22, hkl 1 4 -1
d 2.338, intensity 21, hkl 1 1 -4
d 2.997, intensity 21, hkl 0 1 3
d 2.168, intensity 20, hkl 1 3 2
d 1.445, intensity 20, hkl 1 3 -6
d 1.647, intensity 18, hkl 3 2 -1


[3]
# CaMg6SnO8
Calculated powder XRD pattern, copper Kα. Input: a PBE-relaxed structure.
Neutral-atom scattering factors, no anomalous dispersion.

Crystal structure
```
16
Lattice="4.5236 0.0000 0.0000 0.0000 4.5236 0.0000 0.0000 0.0000 9.0379" Properties=species:S:1:pos:R:3 pbc="T T T"
Ca 0.0000 0.0000 0.0000
Mg 0.0000 2.2618 2.2258
Mg 0.0000 2.2618 6.8121
Mg 2.2618 0.0000 2.2258
Mg 2.2618 0.0000 6.8121
Mg 2.2618 2.2618 0.0000
Mg 2.2618 2.2618 4.5190
Sn 0.0000 0.0000 4.5190
O 0.0000 0.0000 2.2079
O 0.0000 0.0000 6.8300
O 0.0000 2.2618 0.0000
O 0.0000 2.2618 4.5190
O 2.2618 0.0000 0.0000
O 2.2618 0.0000 4.5190
O 2.2618 2.2618 2.2700
O 2.2618 2.2618 6.7680
```

Most intense lines, 2θ from 10° to 90°, in order of falling intensity:
d 2.261, intensity 100, hkl 2 0 0
d 1.599, intensity 61, hkl 2 2 0
d 4.522, intensity 38, hkl 0 0 2
d 2.611, intensity 34, hkl 1 1 2
d 3.198, intensity 33, hkl 1 1 0
d 1.305, intensity 19, hkl 2 2 4
d 2.022, intensity 18, hkl 2 0 2
d 1.363, intensity 18, hkl 3 1 2
d 4.045, intensity 18, hkl 1 0 1
d 1.846, intensity 14, hkl 2 1 2
d 3.015, intensity 12, hkl 0 0 3
d 1.507, intensity 9, hkl 0 0 6


[4]
# CaMg6SnO8
Calculated powder XRD pattern, copper Kα. Input: a PBE-relaxed structure.
Neutral-atom scattering factors, no anomalous dispersion.

Crystal structure
```
16
Lattice="4.5333 0.0000 0.0000 0.0000 4.5333 0.0000 0.0000 0.0000 8.9799" Properties=species:S:1:pos:R:3 pbc="T T T"
Ca 0.0000 0.0000 0.0000
Mg 0.0000 0.0000 4.4900
Mg 0.0000 2.2667 2.4106
Mg 0.0000 2.2667 6.5693
Mg 2.2667 0.0000 2.4106
Mg 2.2667 0.0000 6.5693
Mg 2.2667 2.2667 4.4900
Sn 2.2667 2.2667 0.0000
O 0.0000 0.0000 2.3946
O 0.0000 0.0000 6.5853
O 0.0000 2.2667 0.0000
O 0.0000 2.2667 4.4900
O 2.2667 0.0000 0.0000
O 2.2667 0.0000 4.4900
O 2.2667 2.2667 2.4739
O 2.2667 2.2667 6.5060
```

Most intense lines, 2θ from 10° to 90°, in order of falling intensity:
d 2.267, intensity 100, hkl 2 0 0
d 1.595, intensity 55, hkl 2 0 4
d 2.609, intensity 51, hkl 1 1 2
d 2.245, intensity 44, hkl 0 0 4
d 1.603, intensity 30, hkl 2 2 0
d 3.019, intensity 29, hkl 1 1 1
d 4.047, intensity 26, hkl 1 0 1
d 1.304, intensity 26, hkl 2 2 4
d 4.490, intensity 20, hkl 0 0 2
d 1.366, intensity 18, hkl 3 1 2
d 4.533, intensity 18, hkl 1 0 0
d 2.993, intensity 17, hkl 0 0 3


Repeat the third record exactly.
# CaMg6SnO8
Calculated powder XRD pattern, copper Kα. Input: a PBE-relaxed structure.
Neutral-atom scattering factors, no anomalous dispersion.

Crystal structure
```
16
Lattice="4.5236 0.0000 0.0000 0.0000 4.5236 0.0000 0.0000 0.0000 9.0379" Properties=species:S:1:pos:R:3 pbc="T T T"
Ca 0.0000 0.0000 0.0000
Mg 0.0000 2.2618 2.2258
Mg 0.0000 2.2618 6.8121
Mg 2.2618 0.0000 2.2258
Mg 2.2618 0.0000 6.8121
Mg 2.2618 2.2618 0.0000
Mg 2.2618 2.2618 4.5190
Sn 0.0000 0.0000 4.5190
O 0.0000 0.0000 2.2079
O 0.0000 0.0000 6.8300
O 0.0000 2.2618 0.0000
O 0.0000 2.2618 4.5190
O 2.2618 0.0000 0.0000
O 2.2618 0.0000 4.5190
O 2.2618 2.2618 2.2700
O 2.2618 2.2618 6.7680
```

Most intense lines, 2θ from 10° to 90°, in order of falling intensity:
d 2.261, intensity 100, hkl 2 0 0
d 1.599, intensity 61, hkl 2 2 0
d 4.522, intensity 38, hkl 0 0 2
d 2.611, intensity 34, hkl 1 1 2
d 3.198, intensity 33, hkl 1 1 0
d 1.305, intensity 19, hkl 2 2 4
d 2.022, intensity 18, hkl 2 0 2
d 1.363, intensity 18, hkl 3 1 2
d 4.045, intensity 18, hkl 1 0 1
d 1.846, intensity 14, hkl 2 1 2
d 3.015, intensity 12, hkl 0 0 3
d 1.507, intensity 9, hkl 0 0 6


Please write out number 2 again, unchanged.
# SrCa3Mg4Si8O24
Calculated powder XRD pattern, copper Kα. Input: a PBE-relaxed structure.
Neutral-atom scattering factors, no anomalous dispersion.

Crystal structure
```
40
Lattice="5.3239 0.0000 0.0000 0.0000 9.0907 0.0000 -2.6279 0.0000 9.5219" Properties=species:S:1:pos:R:3 pbc="T T T"
Sr 0.0000 0.0000 0.0000
Ca -1.3139 8.1272 4.7609
Ca 2.6620 3.5910 0.0000
Ca 1.3480 4.4864 4.7609
Mg -1.3139 2.6113 4.7609
Mg 0.0000 5.4574 0.0000
Mg 1.3480 0.9159 4.7609
Mg 2.6620 7.1263 0.0000
Si 0.4563 2.6230 2.0501
Si -0.8523 5.4613 6.7936
Si 0.8933 7.1404 2.7308
Si -0.4077 0.9249 7.4585
Si 3.1037 0.9249 2.0634
Si 1.8027 7.1404 6.7911
Si 2.2397 2.6230 7.4718
Si 3.5484 5.4613 2.7283
O -0.3587 6.1494 3.3327
O -1.6505 1.9381 8.0579
O 0.7349 4.0160 1.3042
O -0.5758 4.0568 6.0678
O -0.4240 0.9721 5.8409
O 0.9041 7.0417 1.1121
O -0.8542 5.5079 8.4182
O 0.4625 2.5619 3.6679
O 0.6099 8.5542 3.4429
O -0.6233 8.5919 8.1661
O 0.3862 6.4612 6.1802
O 1.7037 1.6315 1.4462
O 0.9923 1.6315 8.0756
O 2.3099 6.4612 3.3417
O 3.3193 8.5919 1.3558
O 2.0862 8.5542 6.0790
O 2.2335 2.5619 5.8540
O 3.5502 5.5079 1.1037
O 1.7920 7.0417 8.4097
O 3.1200 0.9721 3.6809
O 1.9611 4.0160 8.2177
O 3.2718 4.0568 3.4541
O 4.3465 1.9381 1.4640
O 3.0547 6.1494 6.1891
```

Most intense lines, 2θ from 10° to 90°, in order of falling intensity:
d 3.039, intensity 100, hkl 1 2 1
d 2.557, intensity 44, hkl 1 2 -3
d 2.936, intensity 43, hkl 1 1 2
d 2.561, intensity 43, hkl 2 0 -2
d 3.288, intensity 32, hkl 0 2 2
d 2.609, intensity 27, hkl 1 3 0
d 2.077, intensity 22, hkl 1 4 -1
d 2.338, intensity 21, hkl 1 1 -4
d 2.997, intensity 21, hkl 0 1 3
d 2.168, intensity 20, hkl 1 3 2
d 1.445, intensity 20, hkl 1 3 -6
d 1.647, intensity 18, hkl 3 2 -1


Repeat the fourth record exactly.
# CaMg6SnO8
Calculated powder XRD pattern, copper Kα. Input: a PBE-relaxed structure.
Neutral-atom scattering factors, no anomalous dispersion.

Crystal structure
```
16
Lattice="4.5333 0.0000 0.0000 0.0000 4.5333 0.0000 0.0000 0.0000 8.9799" Properties=species:S:1:pos:R:3 pbc="T T T"
Ca 0.0000 0.0000 0.0000
Mg 0.0000 0.0000 4.4900
Mg 0.0000 2.2667 2.4106
Mg 0.0000 2.2667 6.5693
Mg 2.2667 0.0000 2.4106
Mg 2.2667 0.0000 6.5693
Mg 2.2667 2.2667 4.4900
Sn 2.2667 2.2667 0.0000
O 0.0000 0.0000 2.3946
O 0.0000 0.0000 6.5853
O 0.0000 2.2667 0.0000
O 0.0000 2.2667 4.4900
O 2.2667 0.0000 0.0000
O 2.2667 0.0000 4.4900
O 2.2667 2.2667 2.4739
O 2.2667 2.2667 6.5060
```

Most intense lines, 2θ from 10° to 90°, in order of falling intensity:
d 2.267, intensity 100, hkl 2 0 0
d 1.595, intensity 55, hkl 2 0 4
d 2.609, intensity 51, hkl 1 1 2
d 2.245, intensity 44, hkl 0 0 4
d 1.603, intensity 30, hkl 2 2 0
d 3.019, intensity 29, hkl 1 1 1
d 4.047, intensity 26, hkl 1 0 1
d 1.304, intensity 26, hkl 2 2 4
d 4.490, intensity 20, hkl 0 0 2
d 1.366, intensity 18, hkl 3 1 2
d 4.533, intensity 18, hkl 1 0 0
d 2.993, intensity 17, hkl 0 0 3